For Pr2Al3Ga4Ag, a PBE-relaxed structure gives the calculated PXRD pattern in this record (Cu Kα (weighted mean of Kα1 and Kα2)).

The 10 most intense peaks (2θ = 10–80°), by angle:
2theta	d/Å	Rel. int.
22.0	4.039	19
32.3	2.775	49
33.5	2.675	100
41.5	2.178	45
46.9	1.935	24
53.5	1.713	23
59.5	1.554	12
60.1	1.540	15
64.4	1.447	18
70.6	1.335	22

Structural model:
```
Pr2Al3Ga4Ag
1.0
4.355 0.000 0.000
0.000 4.355 0.000
0.000 0.000 10.803
Pr Al Ga Ag
2 3 4 1
Direct
0.000 0.500 0.245 Pr
0.500 0.000 0.755 Pr
0.000 0.500 0.868 Al
0.500 0.000 0.132 Al
0.500 0.500 0.500 Al
0.000 0.000 0.000 Ga
0.000 0.500 0.639 Ga
0.500 0.000 0.361 Ga
0.500 0.500 0.000 Ga
0.000 0.000 0.500 Ag
```